Starting from a DFT-relaxed cell (PBE, Alexandria), the powder X-ray diffraction pattern of Tb2Nd3Er was simulated for Cu Kα (λ = 1.5418 Å).

Crystal structure
```
data_Tb2Nd3Er
_symmetry_space_group_name_H-M 'P 1'
_symmetry_Int_Tables_number 1
_cell_length_a 9.5477
_cell_length_b 9.5477
_cell_length_c 3.7629
_cell_angle_alpha 90.00
_cell_angle_beta 90.00
_cell_angle_gamma 144.03
loop_
_symmetry_equiv_pos_as_xyz
'x,y,z'
loop_
_atom_site_label
_atom_site_type_symbol
_atom_site_fract_x
_atom_site_fract_y
_atom_site_fract_z
Tb1 Tb 0.1786 0.8214 0.0000
Tb2 Tb 0.8214 0.1786 0.0000
Nd1 Nd 0.0000 0.0000 0.5000
Nd2 Nd 0.3466 0.6534 0.5000
Nd3 Nd 0.6534 0.3466 0.5000
Er1 Er 0.5000 0.5000 0.0000
```

Top 10 peaks for 2θ from 10° to 80°, low angle first:
Position (°2θ)  I (rel.)
29.5  27
30.3  30
31.9  100
42.8  20
48.4  8
53.8  17
54.8  22
57.7  8
58.2  9
66.6  11